Entry 1:
Starting from a cell relaxed with PBE, the PXRD pattern of Ac2ZnGa was computed for Cu Kα (weighted mean of Kα1 and Kα2).

Main lines, in order of rising 2θ (2θ = 10–90°):
Position (°2θ)	intensity	hkl
22.66	30	2 0 0
32.26	100	2 2 0
46.28	19	4 0 0
52.12	14	4 2 0
57.54	39	4 2 2
76.82	17	6 2 0

abc: 7.8475 7.8475 7.8475
angles: 90.00 90.00 90.00
Space group Fm-3m (No. 225)
One atom of each set of equivalent atoms:
Ac  0.2500  0.2500  0.2500 (multiplicity 8)
Zn  0.0000  0.0000  0.0000 (multiplicity 4)
Ga  0.0000  0.0000  0.5000 (multiplicity 4)


Entry 2:
Starting from a cell relaxed with PBE, the PXRD pattern of AcGe3 was computed for Cu Kα (weighted mean of Kα1 and Kα2).

Main lines, in order of rising 2θ (2θ = 10–90°):
Position (°2θ)	intensity	hkl
23.66	40	1 0 1
26.84	18	1 1 0
31.08	19	2 0 0
36.09	100	0 0 2
60.98	15	3 1 1
67.86	20	2 2 2

abc: 6.6445 6.6445 4.9680
angles: 90.00 90.00 120.00
Space group P6_3/mmc (No. 194)
One atom of each set of equivalent atoms:
Ac  0.3333  0.6667  0.2500 (multiplicity 2)
Ge  0.1370  0.2740  0.7500 (multiplicity 6)